[1]
For RbCaCl3, a PBE-relaxed structure gives the simulated X-ray diffraction stick pattern in this record (a wavelength of 1.5418 Å).
Neutral-atom scattering factors, no anomalous dispersion.

Cell and atoms:
```
data_RbCaCl3
_chemical_formula_sum 'Rb8 Ca8 Cl24'
_cell_length_a 14.360
_cell_length_b 10.813
_cell_length_c 7.585
_cell_angle_alpha 90.00
_cell_angle_beta 90.00
_cell_angle_gamma 90.00
_space_group_name_H-M_alt 'C m c e'
_space_group_IT_number 64
_space_group_name_Hall '-C 2ac 2'
loop_
_atom_site_label
_atom_site_fract_x
_atom_site_fract_y
_atom_site_fract_z
Rb1 0.250 0.075 0.250
Ca1 0.000 0.201 0.629
Cl1 0.000 0.061 0.303
Cl2 0.132 0.186 0.904
```

The 6 most intense peaks (2θ = 10–90°), most intense first:
- 2θ = 35.2°, I = 100
- 2θ = 32.2°, I = 84
- 2θ = 34.4°, I = 69
- 2θ = 39.3°, I = 64
- 2θ = 23.5°, I = 63
- 2θ = 23.7°, I = 61

---

[2]
For Sm3Y6Tm, a PBE-relaxed structure gives the simulated X-ray diffraction stick pattern in this record (a wavelength of 1.5418 Å).
Neutral-atom scattering factors, no anomalous dispersion.

Cell and atoms:
```
data_Sm3Y6Tm
_chemical_formula_sum 'Sm12 Y24 Tm4'
_cell_length_a 10.968
_cell_length_b 18.940
_cell_length_c 6.354
_cell_angle_alpha 90.00
_cell_angle_beta 90.00
_cell_angle_gamma 90.00
_space_group_name_H-M_alt 'C m c 21'
_space_group_IT_number 36
loop_
_space_group_symop_operation_xyz
'x,y,z'
'-x,-y,z+1/2'
'-x,y,z'
'x,-y,z+1/2'
'x+1/2,y+1/2,z'
'-x+1/2,-y+1/2,z+1/2'
'-x+1/2,y+1/2,z'
'x+1/2,-y+1/2,z+1/2'
loop_
_atom_site_label
_atom_site_fract_x
_atom_site_fract_y
_atom_site_fract_z
Sm1 0.000 0.112 0.000
Sm2 0.173 0.388 0.612
Y1 0.000 0.226 0.416
Y2 0.000 0.456 0.182
Y3 0.166 0.045 0.522
Y4 0.241 0.209 0.704
Tm1 0.000 0.300 0.930
```

The 6 most intense peaks (2θ = 10–90°), most intense first:
- 2θ = 31.6°, I = 100
- 2θ = 28.6°, I = 72
- 2θ = 34.0°, I = 42
- 2θ = 32.6°, I = 28
- 2θ = 34.1°, I = 22
- 2θ = 50.0°, I = 19

---

[3]
For Ac4SmY2, a PBE-relaxed structure gives the simulated X-ray diffraction stick pattern in this record (a wavelength of 1.5418 Å).
Neutral-atom scattering factors, no anomalous dispersion.

Cell and atoms:
```
data_Ac4SmY2
_chemical_formula_sum 'Ac16 Sm4 Y8'
_cell_length_a 6.818
_cell_length_b 12.723
_cell_length_c 13.229
_cell_angle_alpha 90.00
_cell_angle_beta 104.76
_cell_angle_gamma 90.00
_space_group_name_H-M_alt 'C 1 c 1'
_space_group_IT_number 9
loop_
_space_group_symop_operation_xyz
'x,y,z'
'x,-y,z+1/2'
'x+1/2,y+1/2,z'
'x+1/2,-y+1/2,z+1/2'
loop_
_atom_site_label
_atom_site_fract_x
_atom_site_fract_y
_atom_site_fract_z
Ac1 0.000 0.081 0.000
Ac2 0.085 0.086 0.279
Ac3 0.143 0.357 0.929
Ac4 0.442 0.140 0.853
Sm1 0.043 0.440 0.641
Y1 0.242 0.184 0.574
Y2 0.346 0.318 0.208
```

The 6 most intense peaks (2θ = 10–90°), most intense first:
- 2θ = 28.6°, I = 100
- 2θ = 29.7°, I = 63
- 2θ = 34.9°, I = 30
- 2θ = 30.4°, I = 27
- 2θ = 28.9°, I = 27
- 2θ = 52.1°, I = 22

---

[4]
For SbC2, a PBE-relaxed structure gives the simulated X-ray diffraction stick pattern in this record (a wavelength of 1.5418 Å).
Neutral-atom scattering factors, no anomalous dispersion.

Cell and atoms:
```
data_SbC2
_chemical_formula_sum 'Sb3 C6'
_cell_length_a 2.6976
_cell_length_b 2.6976
_cell_length_c 26.1298
_cell_angle_alpha 90.00
_cell_angle_beta 90.00
_cell_angle_gamma 120.00
_space_group_name_H-M_alt 'R 3 m'
_space_group_IT_number 160
_space_group_name_Hall 'R 3 -2"'
loop_
_atom_site_label
_atom_site_fract_x
_atom_site_fract_y
_atom_site_fract_z
Sb1 0.0000 0.0000 0.0000
C1 0.0000 0.0000 0.1688
C2 0.0000 0.0000 0.5022
```

The 6 most intense peaks (2θ = 10–90°), most intense first:
- 2θ = 10.2°, I = 100
- 2θ = 20.4°, I = 52
- 2θ = 39.2°, I = 21
- 2θ = 41.0°, I = 19
- 2θ = 38.7°, I = 19
- 2θ = 42.4°, I = 15

---

[5]
For Tb2Zn7Cu, a PBE-relaxed structure gives the simulated X-ray diffraction stick pattern in this record (a wavelength of 1.5418 Å).
Neutral-atom scattering factors, no anomalous dispersion.

Cell and atoms:
```
data_Tb2Zn7Cu
_chemical_formula_sum 'Tb2 Zn7 Cu1'
_cell_length_a 4.076
_cell_length_b 4.076
_cell_length_c 10.878
_cell_angle_alpha 90.00
_cell_angle_beta 90.00
_cell_angle_gamma 90.00
_space_group_name_H-M_alt 'P -4 m 2'
_space_group_IT_number 115
loop_
_space_group_symop_operation_xyz
'x,y,z'
'y,-x,-z'
'-x,-y,z'
'-y,x,-z'
'-x,y,z'
'-y,-x,-z'
'x,-y,z'
'y,x,-z'
loop_
_atom_site_label
_atom_site_fract_x
_atom_site_fract_y
_atom_site_fract_z
Tb1 0.000 0.500 0.248
Zn1 0.000 0.000 0.000
Zn2 0.000 0.000 0.500
Zn3 0.000 0.500 0.640
Zn4 0.000 0.500 0.865
Zn5 0.500 0.500 0.500
Cu1 0.500 0.500 0.000
```

The 6 most intense peaks (2θ = 10–90°), most intense first:
- 2θ = 35.2°, I = 100
- 2θ = 33.1°, I = 62
- 2θ = 44.5°, I = 49
- 2θ = 47.4°, I = 35
- 2θ = 56.5°, I = 33
- 2θ = 67.0°, I = 24

---

[6]
For GaAgF6, a PBE-relaxed structure gives the simulated X-ray diffraction stick pattern in this record (a wavelength of 1.5418 Å).
Neutral-atom scattering factors, no anomalous dispersion.

Cell and atoms:
```
data_GaAgF6
_chemical_formula_sum 'Ga2 Ag2 F12'
_cell_length_a 5.215
_cell_length_b 5.507
_cell_length_c 9.211
_cell_angle_alpha 90.00
_cell_angle_beta 124.25
_cell_angle_gamma 90.00
_space_group_name_H-M_alt 'P 1 21/c 1'
_space_group_IT_number 14
loop_
_space_group_symop_operation_xyz
'x,y,z'
'-x,-y,-z'
'-x,y+1/2,-z+1/2'
'x,-y+1/2,z+1/2'
loop_
_atom_site_label
_atom_site_fract_x
_atom_site_fract_y
_atom_site_fract_z
Ga1 0.000 0.000 0.000
Ag1 0.500 0.000 0.500
F1 0.106 0.031 0.236
F2 0.229 0.702 0.064
F3 0.369 0.173 0.064
```

The 6 most intense peaks (2θ = 10–90°), most intense first:
- 2θ = 23.5°, I = 100
- 2θ = 23.4°, I = 52
- 2θ = 54.0°, I = 24
- 2θ = 33.3°, I = 23
- 2θ = 33.4°, I = 23
- 2θ = 48.1°, I = 16

---

Which formula does entry 1 have? RbCaCl3